Structure and calculated powder X-ray diffraction pattern of Li4MnVP3O12 (a structure optimized by DFT (GGA+U); Cu Kα, 1.54184 Å).

Principal peaks in the range 2θ = 5–70°, by angle:
2θ/deg  I_rel
14.20  70.7
19.34  76.6
23.82  100.0
28.61  36.6
28.69  15.1
31.02  27.4
31.11  56.8
36.60  15.7

Cell and atoms:
```
Li4MnVP3O12
1.0
8.4891 0.0000 0.0000
-4.2279 7.3686 0.0000
-4.2199 -2.4357 7.8221
Li Mn V P O
8 2 2 6 24
direct
0.0000 0.0000 0.0000
0.0410 0.1866 0.5473
0.1707 0.7881 0.2454
0.2999 0.7278 0.9603
0.4360 0.4077 0.2507
0.5559 0.3205 0.9625
0.6904 0.8529 0.6828
0.7559 0.1357 0.2119
0.0668 0.4163 0.1490
0.0812 0.9013 0.6700
0.6591 0.2159 0.5408
0.6754 0.7117 0.0654
0.1620 0.1039 0.3562
0.1734 0.3220 0.8649
0.5764 0.8287 0.3462
0.5825 0.0098 0.8510
0.8559 0.6030 0.8555
0.8570 0.5106 0.3516
0.0099 0.9096 0.2054
0.0228 0.5588 0.3025
0.0605 0.2203 0.3106
0.0650 0.6290 0.0025
0.1326 0.2704 0.0123
0.1867 0.0668 0.5235
0.2475 0.2028 0.8261
0.3530 0.5384 0.9254
0.3600 0.8984 0.8275
0.3799 0.2080 0.3667
0.4153 0.6161 0.3092
0.4847 0.9452 0.3576
0.5825 0.0372 0.6851
0.6185 0.8614 0.1947
0.6629 0.5078 0.1971
0.6863 0.8925 0.9106
0.7025 0.5603 0.9207
0.7177 0.2014 0.9933
0.7372 0.4382 0.6970
0.7571 0.3013 0.3656
0.7898 0.9104 0.5161
0.9183 0.7965 0.8152
0.9403 0.6425 0.5151
0.9750 0.2831 0.6986
```